# KZn4SbO7
Theoretical X-ray powder pattern, Cu Kα (weighted mean of Kα1 and Kα2). Input: the GGA-PBE geometry in Alexandria.
Kinematic intensities with the Lorentz-polarization factor, no thermal factor.

Main lines, in order of rising 2θ (2θ = 10–90°):
h k l, two_theta, intensity
1 0 1, 18.64, 51.2
1 1 0, 28.65, 27.3
1 0 3, 31.29, 68.0
1 1 2, 33.79, 100.0
2 0 1, 34.40, 99.3
2 1 3, 52.44, 28.3
2 0 5, 56.90, 41.6
2 2 0, 59.33, 42.6

Crystal structure
```
data_KZn4SbO7
_cell_length_a 6.2308
_cell_length_b 6.2308
_cell_length_c 10.1126
_cell_angle_alpha 90.00
_cell_angle_beta 90.00
_cell_angle_gamma 120.00
_space_group_name_H-M_alt 'P 63 m c'
_space_group_IT_number 186
_space_group_name_Hall 'P 6c -2c'
loop_
_atom_site_label
_atom_site_type_symbol
_atom_site_fract_x
_atom_site_fract_y
_atom_site_fract_z
K1 K 0.3333 0.6667 0.0000
Zn1 Zn 0.0000 0.0000 0.4298
Zn2 Zn 0.1733 0.3465 0.6844
Sb1 Sb 0.3333 0.6667 0.3727
O1 O 0.0000 0.0000 0.2349
O2 O 0.0238 0.5119 0.2574
O3 O 0.1783 0.3567 0.4885
```